[1]
LaZnFeNiO6: theoretical XRD peak list (CuKα), based on a PBE+U-relaxed structure.

Peak list (6 most intense, 2θ = 10–90°, in order of rising 2θ)
d (Å), I_rel
2.732, 23
2.699, 100
2.652, 21
1.914, 14
1.903, 26
1.571, 16

Atomic structure:
```
20
Lattice="5.3035 0.0000 0.0000 0.0000 5.4641 0.0000 -5.2772 0.0000 7.6578" Properties=species:S:1:pos:R:3 pbc="T T T"
La 0.0000 1.1925 0.0000
La -2.6386 4.2715 3.8289
Zn 0.1853 1.5794 3.8402
Zn 2.8238 3.8847 0.0113
Fe -2.5770 1.3900 5.7302
Fe 0.0616 4.0741 1.9013
Ni 2.7052 1.3674 1.9182
Ni 0.0666 4.0967 5.7471
O -1.8827 1.2662 3.8592
O 0.7559 4.1979 0.0303
O -2.9630 1.5933 7.6284
O -0.3244 3.8708 3.7996
O 1.0779 0.2476 2.3577
O -1.5607 5.2165 6.1866
O -1.1826 2.6686 6.1493
O 1.4560 2.7954 2.3204
O 1.1120 0.2740 5.3095
O 3.7506 5.1901 1.4806
O 4.1028 2.6778 1.4798
O 1.4642 2.7863 5.3087
```



[2]
V2CoP2H8O14: theoretical XRD peak list (CuKα), based on a PBE+U-relaxed structure.

Peak list (6 most intense, 2θ = 10–90°, in order of rising 2θ)
d (Å), I_rel
6.733, 96
3.665, 100
3.366, 59
3.175, 88
2.872, 91
2.779, 54

Atomic structure:
```
27
Lattice="-3.1749 3.1749 6.7329 3.1749 -3.1749 6.7329 3.1749 3.1749 -6.7329" Properties=species:S:1:pos:R:3 pbc="T T T"
V 0.0000 0.0000 2.9921
V 0.0000 0.0000 10.4736
Co 0.0000 0.0000 6.7329
P 3.1749 0.0000 3.3664
P 0.0000 3.1749 3.3664
H 2.0764 0.8929 -0.8103
H 2.0764 0.8929 0.8103
H 2.2820 -1.0985 5.9225
H 2.2820 -1.0985 7.5432
H 0.8929 4.2734 -0.8103
H 0.8929 4.2734 0.8103
H 1.0985 2.2820 5.9225
H 1.0985 2.2820 7.5432
O 3.0404 -1.2413 4.2918
O 4.4161 -0.1345 2.4410
O 1.9336 0.1345 2.4410
O 2.0176 1.4584 0.0000
O 1.7165 -1.1573 6.7329
O 0.0000 0.0000 4.6339
O -0.1345 1.9336 2.4410
O 3.3094 1.2413 4.2918
O 0.0000 0.0000 8.8318
O 1.4584 4.3322 0.0000
O 1.1573 1.7165 6.7329
O 1.2413 3.0404 4.2918
O -1.2413 3.3094 4.2918
O 0.1345 4.4161 2.4410
```



[3]
Na6Co2AsC4O16: theoretical XRD peak list (CuKα), based on a PBE+U-relaxed structure.

Peak list (6 most intense, 2θ = 10–90°, in order of rising 2θ)
d (Å), I_rel
4.960, 27
4.230, 100
2.700, 94
2.480, 67
1.620, 37
1.356, 17

Atomic structure:
```
58
Lattice="0.0000 7.0152 7.0152 7.0152 0.0000 7.0152 7.0152 7.0152 0.0000" Properties=species:S:1:pos:R:3 pbc="T T T"
Na 5.2614 5.2614 1.2025
Na 5.2614 1.2025 5.2614
Na 9.3202 5.2614 5.2614
Na 8.7689 8.7689 4.7101
Na 8.7690 4.7101 8.7689
Na 12.8278 8.7689 8.7689
Na 1.2025 5.2614 5.2614
Na 5.2614 9.3202 5.2614
Na 5.2614 5.2614 9.3202
Na 4.7101 8.7690 8.7690
Na 8.7689 12.8278 8.7690
Na 8.7690 8.7690 12.8278
Co 7.0152 3.5076 3.5076
Co 3.5076 7.0152 3.5076
Co 3.5076 3.5076 7.0152
Co 7.0152 7.0152 7.0152
As 1.7538 1.7538 1.7538
As 12.2765 12.2765 12.2765
C 4.0038 4.0038 4.0038
C 6.5189 6.5189 4.0038
C 6.5189 4.0038 6.5189
C 10.0265 7.5114 7.5114
C 4.0038 6.5189 6.5189
C 7.5114 10.0265 7.5114
C 7.5114 7.5114 10.0265
C 10.0265 10.0265 10.0265
O 0.7595 0.7595 0.7595
O 2.7481 2.7481 0.7595
O 2.7481 0.7595 2.7481
O 4.9897 3.7929 3.1873
O 7.3355 5.5330 3.7929
O 6.7298 3.1873 5.5330
O 5.5330 6.7298 3.1873
O 3.7929 3.1873 4.9897
O 7.3355 4.9897 6.7298
O 0.7595 2.7481 2.7481
O 9.0406 7.3005 6.6948
O 10.8431 8.4973 7.3005
O 10.2374 6.6948 8.4973
O 3.1873 4.9897 3.7929
O 6.7298 7.3355 4.9897
O 5.5330 3.7929 7.3355
O 8.4973 10.2374 6.6948
O 7.3005 6.6948 9.0406
O 10.8431 9.0406 10.2374
O 3.7929 7.3355 5.5330
O 3.1873 5.5330 6.7298
O 4.9897 6.7298 7.3355
O 13.2708 11.2822 11.2822
O 6.6948 9.0406 7.3005
O 10.2374 10.8431 9.0406
O 8.4973 7.3005 10.8431
O 7.3005 10.8431 8.4973
O 6.6948 8.4973 10.2374
O 9.0406 10.2374 10.8431
O 11.2822 13.2708 11.2822
O 11.2822 11.2822 13.2708
O 13.2708 13.2708 13.2708
```



[4]
K2CoB12O30: theoretical XRD peak list (CuKα), based on a PBE+U-relaxed structure.

Peak list (6 most intense, 2θ = 10–90°, in order of rising 2θ)
d (Å), I_rel
7.836, 100
6.992, 42
3.985, 42
3.603, 56
3.579, 43
3.196, 63

Atomic structure:
```
45
Lattice="8.0436 0.0000 0.0000 0.0397 8.0608 0.0000 2.1889 2.5841 9.5483" Properties=species:S:1:pos:R:3 pbc="T T T"
K 1.9877 3.2484 3.0995
K 8.2844 7.3965 6.4487
Co 4.0218 0.0000 0.0000
B 2.2065 2.5809 6.7360
B 3.6413 3.7063 8.4617
B 4.3831 5.9982 9.0477
B 3.7852 6.4933 4.2771
B 4.3872 3.3078 5.9723
B 4.3976 5.8767 1.9813
B 5.8745 4.7681 7.5670
B 5.8849 7.3370 3.5760
B 6.4869 4.1516 5.2712
B 5.8891 4.6466 0.5005
B 6.6309 6.9385 1.0866
B 8.0657 8.0639 2.8122
O 1.1951 8.6373 3.1748
O 2.4575 3.0721 7.9871
O 3.4525 4.9843 9.1064
O 2.9735 7.1504 6.3907
O 2.7351 6.4242 5.2706
O 1.9784 4.4230 0.4146
O 3.2120 2.6809 5.7124
O 4.4468 2.8330 9.2829
O 3.6156 5.6676 3.2285
O 4.5614 4.0138 7.1562
O 3.6545 6.7351 1.1071
O 3.8444 1.6603 1.8410
O 5.4572 6.0058 8.1812
O 4.8600 7.3106 4.5048
O 5.4538 8.9909 6.9416
O 4.8184 1.6539 2.6066
O 5.4122 3.3342 5.0435
O 4.8149 4.6390 1.3670
O 6.4277 8.9846 7.7073
O 6.6176 3.9098 8.4412
O 5.7107 6.6310 2.3920
O 6.6566 4.9772 6.3197
O 5.8253 7.8118 0.2654
O 7.0601 7.9639 3.8359
O 8.2938 6.2218 9.1336
O 7.5371 4.2206 4.2776
O 7.2987 3.4944 3.1576
O 6.8196 5.6605 0.4418
O 7.8146 7.5727 1.5611
O 9.0770 2.0076 6.3735
```



[5]
LiNiAsO4: theoretical XRD peak list (CuKα), based on a PBE+U-relaxed structure.

Peak list (6 most intense, 2θ = 10–90°, in order of rising 2θ)
d (Å), I_rel
4.459, 63
3.935, 42
2.992, 50
2.569, 100
2.485, 32
1.633, 25

Atomic structure:
```
28
Lattice="10.4470 0.0000 0.0000 0.0000 5.9843 0.0000 0.0000 0.0000 4.9300" Properties=species:S:1:pos:R:3 pbc="T T T"
Li 0.0000 0.0000 0.0000
Li 0.0000 2.9922 0.0000
Li 5.2235 0.0000 2.4650
Li 5.2235 2.9922 2.4650
Ni 2.3820 1.4961 2.4338
Ni 2.8415 4.4882 4.8988
Ni 7.6055 1.4961 0.0312
Ni 8.0650 4.4882 2.4962
As 0.9799 4.4882 2.1476
As 4.2436 1.4961 4.6126
As 6.2034 4.4882 0.3175
As 9.4671 1.4961 2.7825
O 0.6002 1.4961 3.4750
O 1.0068 4.4882 3.8548
O 1.7747 3.1589 1.3451
O 1.7747 5.8176 1.3451
O 3.4488 0.1668 3.8102
O 3.4488 2.8254 3.8102
O 4.2167 1.4961 1.3898
O 4.6232 4.4882 1.0100
O 5.8237 1.4961 3.9201
O 6.2302 4.4882 3.5402
O 6.9981 3.1589 1.1199
O 6.9981 5.8176 1.1199
O 8.6723 0.1668 3.5849
O 8.6723 2.8254 3.5849
O 9.4402 1.4961 1.0752
O 9.8467 4.4882 1.4550
```



[6]
AlNi2O4: theoretical XRD peak list (CuKα), based on a PBE+U-relaxed structure.

Peak list (6 most intense, 2θ = 10–90°, in order of rising 2θ)
d (Å), I_rel
4.524, 61
2.729, 54
2.262, 100
2.227, 83
1.810, 36
1.449, 39

Atomic structure:
```
14
Lattice="-2.5586 2.5586 4.8387 2.5586 -2.5586 4.8387 2.5586 2.5586 -4.8387" Properties=species:S:1:pos:R:3 pbc="T T T"
Al 0.0000 1.2793 1.2097
Al 2.5586 1.2793 3.6291
Ni 1.2793 1.2793 -2.4194
Ni 1.2793 -1.2793 2.4194
Ni 2.5586 0.0000 0.0000
Ni 0.0000 0.0000 4.8387
O 4.1682 -0.3204 0.8586
O 1.5996 0.3303 1.5608
O 1.6096 -0.3204 3.9801
O 1.5996 2.8889 -1.5608
O 0.9589 -0.3303 6.3995
O 0.9490 2.8789 0.8586
O 0.9589 2.2282 3.2780
O -1.6096 2.8789 3.9801
```